1.
Starting from DFT lattice parameters and positions (PBE), the PXRD pattern of K3Tl7Hg2 was computed for a wavelength of 1.5418 Å.
Neutral-atom scattering factors, no anomalous dispersion.

Structure:
```
data_K3Tl7Hg2
_cell_length_a 6.7527
_cell_length_b 6.7527
_cell_length_c 31.1730
_cell_angle_alpha 90.00
_cell_angle_beta 90.00
_cell_angle_gamma 120.00
_symmetry_space_group_name_H-M 'R -3 m'
_symmetry_Int_Tables_number 166
_symmetry_space_group_name_Hall '-R 3 2"'
loop_
_atom_site_label
_atom_site_type_symbol
_atom_site_fract_x
_atom_site_fract_y
_atom_site_fract_z
_atom_site_occupancy
K1 K 0.0000 0.0000 0.0000 1
K2 K 0.0000 0.0000 0.1411 1
Tl1 Tl 0.0000 0.0000 0.5000 1
Tl2 Tl 0.0070 0.5035 0.9181 1
Hg1 Hg 0.0000 0.0000 0.3361 1
```

Main lines, low angle first (2θ = 15–90°):
index	2θ (°)	d [Å]	I_rel
1 0 1	15.42	5.748	94
1 1 6	31.60	2.831	100
2 0 5	33.86	2.647	65
0 0 12	34.53	2.598	36
0 2 7	36.77	2.444	55
3 0 6	49.97	1.825	28
2 2 0	54.34	1.688	34
2 2 12	66.00	1.416	34



2.
Starting from DFT lattice parameters and positions (PBE), the PXRD pattern of K12Tl2Hg5 was computed for a wavelength of 1.5418 Å.
Neutral-atom scattering factors, no anomalous dispersion.

Structure:
```
data_K12Tl2Hg5
_cell_length_a 14.8640
_cell_length_b 12.1469
_cell_length_c 9.9365
_cell_angle_alpha 90.00
_cell_angle_beta 105.03
_cell_angle_gamma 90.00
_symmetry_space_group_name_H-M 'C 1 2/m 1'
_symmetry_Int_Tables_number 12
loop_
_symmetry_equiv_pos_as_xyz
'x,y,z'
'-x,-y,-z'
'-x,y,-z'
'x,-y,z'
'x+1/2,y+1/2,z'
'-x+1/2,-y+1/2,-z'
'-x+1/2,y+1/2,-z'
'x+1/2,-y+1/2,z'
loop_
_atom_site_label
_atom_site_type_symbol
_atom_site_fract_x
_atom_site_fract_y
_atom_site_fract_z
_atom_site_occupancy
K1 K 0.0946 0.0000 0.1844 1
K2 K 0.1108 0.2811 0.3973 1
K3 K 0.1124 0.5000 0.7875 1
K4 K 0.1772 0.1657 0.8232 1
Tl1 Tl 0.0000 0.3003 0.0000 1
Hg1 Hg 0.0000 0.0000 0.5000 1
Hg2 Hg 0.1201 0.5000 0.1574 1
Hg3 Hg 0.2194 0.0000 0.5425 1
```

Main lines, low angle first (2θ = 15–90°):
index	2θ (°)	d [Å]	I_rel
0 2 1	17.28	5.133	57
4 2 -1	28.30	3.154	69
1 3 -2	28.47	3.135	39
2 2 2	28.92	3.087	100
0 4 0	29.41	3.037	43
0 2 3	31.62	2.830	75
4 2 1	32.35	2.767	66
1 5 -1	38.35	2.347	38



3.
Starting from DFT lattice parameters and positions (PBE), the PXRD pattern of K2Tl5Hg12 was computed for a wavelength of 1.5418 Å.
Neutral-atom scattering factors, no anomalous dispersion.

Structure:
```
data_K2Tl5Hg12
_cell_length_a 10.5408
_cell_length_b 10.5408
_cell_length_c 17.9204
_cell_angle_alpha 90.00
_cell_angle_beta 90.00
_cell_angle_gamma 120.00
_symmetry_space_group_name_H-M 'R -3 m'
_symmetry_Int_Tables_number 166
_symmetry_space_group_name_Hall '-R 3 2"'
loop_
_atom_site_label
_atom_site_type_symbol
_atom_site_fract_x
_atom_site_fract_y
_atom_site_fract_z
_atom_site_occupancy
K1 K 0.0000 0.0000 0.1799 1
Tl1 Tl 0.0000 0.0000 0.4053 1
Tl2 Tl 0.0000 0.5000 0.0000 1
Hg1 Hg 0.0000 0.2981 0.5000 1
Hg2 Hg 0.0400 0.5200 0.6272 1
```

Main lines, low angle first (2θ = 15–90°):
index	2θ (°)	d [Å]	I_rel
1 1 0	16.82	5.270	38
1 2 2	27.71	3.220	22
0 2 4	27.91	3.197	35
2 0 5	31.74	2.819	91
0 3 3	33.04	2.711	100
2 2 0	34.02	2.635	43
1 1 6	34.52	2.598	41
2 2 3	37.30	2.411	96



4.
Starting from DFT lattice parameters and positions (PBE), the PXRD pattern of KTl12Hg7 was computed for a wavelength of 1.5418 Å.
Neutral-atom scattering factors, no anomalous dispersion.

Structure:
```
data_KTl12Hg7
_cell_length_a 15.6870
_cell_length_b 15.6870
_cell_length_c 8.8326
_cell_angle_alpha 90.00
_cell_angle_beta 90.00
_cell_angle_gamma 120.00
_symmetry_space_group_name_H-M 'R -3'
_symmetry_Int_Tables_number 148
_symmetry_space_group_name_Hall '-R 3'
loop_
_atom_site_label
_atom_site_type_symbol
_atom_site_fract_x
_atom_site_fract_y
_atom_site_fract_z
_atom_site_occupancy
K1 K 0.0000 0.0000 0.0000 1
Tl1 Tl 0.0147 0.2404 0.8315 1
Tl2 Tl 0.0838 0.5565 0.1683 1
Hg1 Hg 0.0000 0.0000 0.5000 1
Hg2 Hg 0.0062 0.2009 0.1849 1
```

Main lines, low angle first (2θ = 15–90°):
index	2θ (°)	d [Å]	I_rel
1 4 0	30.15	2.965	45
0 0 3	30.39	2.941	100
5 -3 2	35.25	2.546	44
6 -4 1	36.43	2.466	11
5 -1 3	43.31	2.089	29
3 2 4	50.68	1.801	17
5 -3 5	60.24	1.536	16
5 5 3	67.67	1.385	11



5.
Starting from DFT lattice parameters and positions (PBE), the PXRD pattern of KTl11Hg was computed for a wavelength of 1.5418 Å.
Neutral-atom scattering factors, no anomalous dispersion.

Structure:
```
data_KTl11Hg
_cell_length_a 6.4864
_cell_length_b 16.0855
_cell_length_c 8.6507
_cell_angle_alpha 90.00
_cell_angle_beta 111.53
_cell_angle_gamma 90.00
_symmetry_space_group_name_H-M 'C 1 2/m 1'
_symmetry_Int_Tables_number 12
loop_
_symmetry_equiv_pos_as_xyz
'x,y,z'
'-x,-y,-z'
'-x,y,-z'
'x,-y,z'
'x+1/2,y+1/2,z'
'-x+1/2,-y+1/2,-z'
'-x+1/2,y+1/2,-z'
'x+1/2,-y+1/2,z'
loop_
_atom_site_label
_atom_site_type_symbol
_atom_site_fract_x
_atom_site_fract_y
_atom_site_fract_z
_atom_site_occupancy
K1 K 0.0000 0.0000 0.0000 1
Tl1 Tl 0.0000 0.0000 0.5000 1
Tl2 Tl 0.1022 0.3949 0.2153 1
Tl3 Tl 0.1796 0.1777 0.3590 1
Tl4 Tl 0.2500 0.2500 0.0000 1
Hg1 Hg 0.0000 0.5000 0.5000 1
```

Main lines, low angle first (2θ = 15–90°):
index	2θ (°)	d [Å]	I_rel
0 4 2	31.46	2.844	100
1 1 -3	31.59	2.832	41
2 2 0	31.68	2.825	35
2 2 -2	31.84	2.810	33
0 6 1	35.28	2.544	93
2 0 1	35.42	2.535	54
2 4 -1	35.56	2.524	49
2 6 2	56.04	1.641	27



6.
Starting from DFT lattice parameters and positions (PBE), the PXRD pattern of KTl6Hg2 was computed for a wavelength of 1.5418 Å.
Neutral-atom scattering factors, no anomalous dispersion.

Structure:
```
data_KTl6Hg2
_cell_length_a 5.0648
_cell_length_b 5.0648
_cell_length_c 11.4464
_cell_angle_alpha 90.00
_cell_angle_beta 90.00
_cell_angle_gamma 90.00
_symmetry_space_group_name_H-M 'P 4/m m m'
_symmetry_Int_Tables_number 123
_symmetry_space_group_name_Hall '-P 4 2'
loop_
_atom_site_label
_atom_site_type_symbol
_atom_site_fract_x
_atom_site_fract_y
_atom_site_fract_z
_atom_site_occupancy
K1 K 0.0000 0.0000 0.0000 1
Tl1 Tl 0.0000 0.0000 0.5000 1
Tl2 Tl 0.0000 0.5000 0.2946 1
Tl3 Tl 0.5000 0.5000 0.5000 1
Hg1 Hg 0.5000 0.5000 0.1273 1
```

Main lines, low angle first (2θ = 15–90°):
index	2θ (°)	d [Å]	I_rel
1 1 2	29.42	3.036	100
1 1 3	34.34	2.611	86
2 0 0	35.45	2.532	68
0 0 5	39.36	2.289	19
2 2 0	51.00	1.791	24
2 0 5	54.00	1.698	31
3 1 2	59.97	1.542	29
3 1 3	62.94	1.477	31



7.
Starting from DFT lattice parameters and positions (PBE), the PXRD pattern of K4Tl2Hg was computed for a wavelength of 1.5418 Å.
Neutral-atom scattering factors, no anomalous dispersion.

Structure:
```
data_K4Tl2Hg
_cell_length_a 7.3325
_cell_length_b 8.5926
_cell_length_c 11.2141
_cell_angle_alpha 89.23
_cell_angle_beta 70.99
_cell_angle_gamma 64.92
_symmetry_space_group_name_H-M 'P -1'
_symmetry_Int_Tables_number 2
loop_
_symmetry_equiv_pos_as_xyz
'x,y,z'
'-x,-y,-z'
loop_
_atom_site_label
_atom_site_type_symbol
_atom_site_fract_x
_atom_site_fract_y
_atom_site_fract_z
_atom_site_occupancy
K1 K 0.1842 0.2563 0.3744 1
K2 K 0.1880 0.7565 0.8670 1
K3 K 0.2480 0.7534 0.2542 1
K4 K 0.2535 0.2492 0.7481 1
Tl1 Tl 0.2779 0.3920 0.0569 1
Tl2 Tl 0.5000 0.0000 0.0000 1
Tl3 Tl 0.5000 0.5000 0.5000 1
Hg1 Hg 0.2786 0.8954 0.5540 1
```

Main lines, low angle first (2θ = 15–90°):
index	2θ (°)	d [Å]	I_rel
0 0 2	16.91	5.245	54
1 0 2	17.86	4.965	99
2 1 1	24.28	3.666	49
2 1 -1	29.73	3.005	56
0 2 2	30.75	2.908	27
1 1 -3	31.99	2.798	28
1 0 4	32.01	2.796	28
1 -2 0	32.39	2.764	100



8.
Starting from DFT lattice parameters and positions (PBE), the PXRD pattern of K2YHg was computed for a wavelength of 1.5418 Å.
Neutral-atom scattering factors, no anomalous dispersion.

Structure:
```
data_K2YHg
_cell_length_a 3.9485
_cell_length_b 3.9414
_cell_length_c 11.2156
_cell_angle_alpha 90.00
_cell_angle_beta 90.17
_cell_angle_gamma 90.00
_symmetry_space_group_name_H-M 'P 1 m 1'
_symmetry_Int_Tables_number 6
loop_
_symmetry_equiv_pos_as_xyz
'x,y,z'
'x,-y,z'
loop_
_atom_site_label
_atom_site_type_symbol
_atom_site_fract_x
_atom_site_fract_y
_atom_site_fract_z
_atom_site_occupancy
K1 K 0.0000 0.0000 0.0000 1
K2 K 0.4979 0.5000 0.3653 1
Y1 Y 0.4985 0.5000 0.7071 1
Hg1 Hg 0.9975 0.0000 0.5926 1
```

Main lines, low angle first (2θ = 15–90°):
index	2θ (°)	d [Å]	I_rel
0 0 2	15.80	5.608	46
0 0 3	23.81	3.737	25
1 0 2	27.65	3.227	100
1 1 0	32.09	2.789	65
0 1 3	33.00	2.715	52
1 0 3	33.08	2.708	68
1 1 2	35.96	2.498	26
0 1 5	46.56	1.951	23



9.
Starting from DFT lattice parameters and positions (PBE), the PXRD pattern of La8Hg was computed for a wavelength of 1.5418 Å.
Neutral-atom scattering factors, no anomalous dispersion.

Structure:
```
data_La8Hg
_cell_length_a 10.9872
_cell_length_b 10.9872
_cell_length_c 5.1303
_cell_angle_alpha 90.00
_cell_angle_beta 90.00
_cell_angle_gamma 90.00
_symmetry_space_group_name_H-M 'I 4/m m m'
_symmetry_Int_Tables_number 139
_symmetry_space_group_name_Hall '-I 4 2'
loop_
_atom_site_label
_atom_site_type_symbol
_atom_site_fract_x
_atom_site_fract_y
_atom_site_fract_z
_atom_site_occupancy
La1 La 0.0000 0.3202 0.0000 1
La2 La 0.1667 0.1667 0.5000 1
Hg1 Hg 0.0000 0.0000 0.0000 1
```

Main lines, low angle first (2θ = 15–90°):
index	2θ (°)	d [Å]	I_rel
3 0 1	29.98	2.981	100
3 3 0	34.64	2.590	34
0 0 2	34.98	2.565	17
6 0 0	49.79	1.831	12
3 3 2	50.05	1.822	24
6 3 1	59.22	1.560	28
3 0 3	59.67	1.549	15
6 0 2	62.30	1.490	12



10.
Starting from DFT lattice parameters and positions (PBE), the PXRD pattern of La5Hg2 was computed for a wavelength of 1.5418 Å.
Neutral-atom scattering factors, no anomalous dispersion.

Structure:
```
data_La5Hg2
_cell_length_a 16.1383
_cell_length_b 6.0737
_cell_length_c 9.2422
_cell_angle_alpha 90.00
_cell_angle_beta 97.35
_cell_angle_gamma 90.00
_symmetry_space_group_name_H-M 'C 1 2/c 1'
_symmetry_Int_Tables_number 15
loop_
_symmetry_equiv_pos_as_xyz
'x,y,z'
'-x,-y,-z'
'-x,y,-z+1/2'
'x,-y,z+1/2'
'x+1/2,y+1/2,z'
'-x+1/2,-y+1/2,-z'
'-x+1/2,y+1/2,-z+1/2'
'x+1/2,-y+1/2,z+1/2'
loop_
_atom_site_label
_atom_site_type_symbol
_atom_site_fract_x
_atom_site_fract_y
_atom_site_fract_z
_atom_site_occupancy
La1 La 0.0000 0.2179 0.2500 1
La2 La 0.1268 0.2102 0.9535 1
La3 La 0.2294 0.3500 0.3236 1
Hg1 Hg 0.0779 0.3150 0.5980 1
```

Main lines, low angle first (2θ = 15–90°):
index	2θ (°)	d [Å]	I_rel
3 1 -2	28.13	3.172	25
0 2 0	29.41	3.037	36
4 0 2	31.50	2.840	64
5 1 -1	32.01	2.796	95
1 1 -3	32.64	2.743	100
2 2 1	33.46	2.678	52
4 2 2	43.64	2.074	22
3 3 -2	51.38	1.778	23



11.
Starting from DFT lattice parameters and positions (PBE), the PXRD pattern of La13Hg2 was computed for a wavelength of 1.5418 Å.
Neutral-atom scattering factors, no anomalous dispersion.

Structure:
```
data_La13Hg2
_cell_length_a 6.6481
_cell_length_b 8.7694
_cell_length_c 9.8565
_cell_angle_alpha 68.91
_cell_angle_beta 77.83
_cell_angle_gamma 82.01
_symmetry_space_group_name_H-M 'P -1'
_symmetry_Int_Tables_number 2
loop_
_symmetry_equiv_pos_as_xyz
'x,y,z'
'-x,-y,-z'
loop_
_atom_site_label
_atom_site_type_symbol
_atom_site_fract_x
_atom_site_fract_y
_atom_site_fract_z
_atom_site_occupancy
La1 La 0.0000 0.0000 0.0000 1
La2 La 0.0577 0.4209 0.7086 1
La3 La 0.2091 0.1816 0.2302 1
La4 La 0.2495 0.5960 0.9510 1
La5 La 0.2877 0.9823 0.6490 1
La6 La 0.4561 0.3688 0.4194 1
La7 La 0.4780 0.7924 0.1489 1
Hg1 Hg 0.1249 0.7893 0.4479 1
```

Main lines, low angle first (2θ = 15–90°):
index	2θ (°)	d [Å]	I_rel
2 1 2	29.84	2.994	46
0 2 3	30.19	2.961	100
1 1 -2	30.35	2.945	59
1 3 1	32.26	2.775	87
1 0 4	39.83	2.263	19
-1 4 2	46.40	1.957	15
2 4 -1	56.37	1.632	17
3 0 -3	56.54	1.628	16



12.
Starting from DFT lattice parameters and positions (PBE), the PXRD pattern of LaHg3 was computed for a wavelength of 1.5418 Å.
Neutral-atom scattering factors, no anomalous dispersion.

Structure:
```
data_LaHg3
_cell_length_a 6.8375
_cell_length_b 6.8375
_cell_length_c 10.6593
_cell_angle_alpha 90.00
_cell_angle_beta 90.00
_cell_angle_gamma 120.00
_symmetry_space_group_name_H-M 'P 63/m m c'
_symmetry_Int_Tables_number 194
_symmetry_space_group_name_Hall '-P 6c 2c'
loop_
_atom_site_label
_atom_site_type_symbol
_atom_site_fract_x
_atom_site_fract_y
_atom_site_fract_z
_atom_site_occupancy
La1 La 0.0000 0.0000 0.0000 1
La2 La 0.3333 0.6667 0.2500 1
Hg1 Hg 0.0000 0.5000 0.0000 1
Hg2 Hg 0.1708 0.3416 0.7500 1
```

Main lines, low angle first (2θ = 15–90°):
index	2θ (°)	d [Å]	I_rel
2 0 1	31.36	2.853	43
0 0 4	33.63	2.665	32
2 0 2	34.66	2.588	100
2 0 3	39.62	2.275	23
2 2 0	53.62	1.709	26
2 0 6	60.80	1.523	20
2 2 4	64.80	1.439	29
4 0 2	65.43	1.426	16